Starting from a cell relaxed with PBE, the powder X-ray diffraction pattern of Ta3Mo5 was computed for copper Kα.

Peak list (8 most intense, 2θ = 10–80°, by intensity)
| 2theta | Rel. int. |
| --- | --- |
| 39.38 | 100 |
| 39.85 | 96 |
| 71.72 | 34 |
| 57.27 | 33 |
| 71.41 | 17 |
| 72.68 | 17 |
| 12.05 | 15 |
| 30.33 | 9 |

Cell and atoms:
```
8
Lattice="2.2881 1.3210 7.3461 -2.2881 1.3210 7.3461 0.0000 -2.6420 7.3461" Properties=species:S:1:pos:R:3 pbc="T T T"
Ta 0.0000 0.0000 0.0000
Ta 0.0000 0.0000 8.2951
Ta 0.0000 0.0000 13.7431
Mo 0.0000 0.0000 2.7781
Mo 0.0000 0.0000 5.4606
Mo 0.0000 0.0000 11.0191
Mo 0.0000 0.0000 16.5777
Mo 0.0000 0.0000 19.2602
```